[1]
For YGa40Mo8, a structure optimized by DFT (GGA-PBE) gives the calculated X-ray diffraction stick pattern in this record (Cu Kα (weighted mean of Kα1 and Kα2)).
Peak positions follow from Bragg's law for the DFT cell and can differ from measured ones.

Most intense lines, 2θ = 10–80°, sorted by position:
2.899 Å, I 59
2.361 Å, I 53
2.281 Å, I 39
2.271 Å, I 60
2.260 Å, I 76
2.162 Å, I 74
2.067 Å, I 100
2.034 Å, I 82

Structural model:
```
YGa40Mo8
1.0
7.0458 4.0679 5.1047
-7.0458 4.0679 5.1047
0.0000 -8.1358 5.1047
Y Ga Mo
1 40 8
direct
0.0000 0.0000 0.0000
0.0000 0.5000 0.5000
0.0355 0.2144 0.4056
0.0415 0.7153 0.8614
0.0717 0.4441 0.7782
0.1208 0.1705 0.6954
0.1386 0.9585 0.2847
0.1705 0.6954 0.1208
0.2144 0.4056 0.0355
0.2218 0.9283 0.5559
0.2244 0.4684 0.3271
0.2690 0.6381 0.6117
0.2847 0.1386 0.9585
0.3046 0.8792 0.8295
0.3271 0.2244 0.4684
0.3619 0.3883 0.7310
0.3883 0.7310 0.3619
0.4056 0.0355 0.2144
0.4441 0.7782 0.0717
0.4684 0.3271 0.2244
0.5000 0.0000 0.5000
0.5000 0.5000 0.0000
0.5000 0.5000 0.5000
0.5316 0.6729 0.7756
0.5559 0.2218 0.9283
0.5944 0.9645 0.7856
0.6117 0.2690 0.6381
0.6381 0.6117 0.2690
0.6729 0.7756 0.5316
0.6954 0.1208 0.1705
0.7153 0.8614 0.0415
0.7310 0.3619 0.3883
0.7756 0.5316 0.6729
0.7782 0.0717 0.4441
0.7856 0.5944 0.9645
0.8295 0.3046 0.8792
0.8614 0.0415 0.7153
0.8792 0.8295 0.3046
0.9283 0.5559 0.2218
0.9585 0.2847 0.1386
0.9645 0.7856 0.5944
0.1136 0.7103 0.3902
0.2099 0.2099 0.2099
0.2897 0.6098 0.8864
0.3902 0.1136 0.7103
0.6098 0.8864 0.2897
0.7103 0.3902 0.1136
0.7901 0.7901 0.7901
0.8864 0.2897 0.6098
```



[2]
For Ta3AsN2, a structure optimized by DFT (GGA-PBE) gives the calculated X-ray diffraction stick pattern in this record (Cu Kα (weighted mean of Kα1 and Kα2)).
Peak positions follow from Bragg's law for the DFT cell and can differ from measured ones.

Most intense lines, 2θ = 10–80°, sorted by position:
2.729 Å, I 45
2.336 Å, I 100
2.186 Å, I 18
2.168 Å, I 44
1.595 Å, I 35
1.589 Å, I 18
1.317 Å, I 16
1.289 Å, I 29

Structural model:
```
Ta3AsN2
1.0
3.1903 0.0000 0.0000
-1.5951 2.7629 0.0000
0.0000 0.0000 17.4872
Ta As N
6 2 4
direct
0.0000 0.0000 0.0000
0.0000 0.0000 0.5000
0.3333 0.6667 0.1406
0.3333 0.6667 0.3594
0.6667 0.3333 0.6406
0.6667 0.3333 0.8594
0.0000 0.0000 0.2500
0.0000 0.0000 0.7500
0.3333 0.6667 0.5693
0.3333 0.6667 0.9307
0.6667 0.3333 0.0693
0.6667 0.3333 0.4307
```